Starting from a DFT-relaxed cell (PBE, Alexandria), the X-ray diffraction stick pattern of Rb3Tl2As2 was computed for λ = 1.5418 Å (Cu Kα).
Peak positions follow from Bragg's law for the DFT cell and can differ from measured ones.

Crystal structure
```
data_Rb3Tl2As2
_chemical_formula_sum 'Rb6 Tl4 As4'
_cell_length_a 4.5443
_cell_length_b 5.5720
_cell_length_c 21.7199
_cell_angle_alpha 90.00
_cell_angle_beta 90.00
_cell_angle_gamma 90.00
_symmetry_space_group_name_H-M 'I m m m'
_symmetry_Int_Tables_number 71
_symmetry_space_group_name_Hall '-I 2 2'
loop_
_atom_site_label
_atom_site_fract_x
_atom_site_fract_y
_atom_site_fract_z
Rb1 0.0000 0.0000 0.0000
Rb2 0.0000 0.5000 0.3101
Tl1 0.0000 0.0000 0.4312
As1 0.0000 0.5000 0.1413
```

Peak list (10 most intense, 2θ from 5° to 70°, by intensity)
d_spacing  2θ/deg  I (rel.)
3.350  26.6  100
5.399  16.4  61
3.426  26.0  56
2.562  35.0  50
10.860  8.1  46
1.886  48.3  40
2.786  32.1  40
2.524  35.6  38
2.272  39.7  23
4.448  20.0  22